# 1
Theoretical powder XRD pattern
Compound: LaNd3Y8
Radiation: Cu Kα X-rays
Structure: DFT lattice parameters and positions (PBE)
Neutral-atom scattering factors, no anomalous dispersion.

a = 6.483 Å, b = 11.517 Å, c = 11.622 Å
α = 90.00°, β = 90.00°, γ = 90.00°
Space group Immm (No. 71)
Unique sites:
La 0.000 0.000 0.000
Nd 0.000 0.000 0.500
Nd 0.000 0.500 0.248
Y 0.000 0.172 0.250
Y 0.249 0.253 0.000

Main lines, in order of rising 2θ (2θ = 15–90°):
(1 1 2), 4.051 Å, 21.94°, I = 367
(0 0 4), 2.906 Å, 30.77°, I = 423
(1 3 2), 2.873 Å, 31.13°, I = 1000
(2 0 2), 2.828 Å, 31.64°, I = 503
(2 2 2), 2.540 Å, 35.33°, I = 214
(2 2 4), 2.025 Å, 44.75°, I = 191
(3 3 2), 1.791 Å, 50.98°, I = 209
(1 3 6), 1.671 Å, 54.95°, I = 167
(2 6 0), 1.652 Å, 55.65°, I = 152
(2 6 4), 1.436 Å, 64.95°, I = 189

# 2
Theoretical powder XRD pattern
Compound: La2NdY4
Radiation: Cu Kα X-rays
Structure: DFT lattice parameters and positions (PBE)
Neutral-atom scattering factors, no anomalous dispersion.

a = 16.800 Å, b = 6.828 Å, c = 11.780 Å
α = 90.00°, β = 134.43°, γ = 90.00°
Space group C2 (No. 5)
Unique sites:
La 0.000 0.000 0.000
La 0.000 0.000 0.500
La 0.223 0.881 0.476
Nd 0.224 0.882 0.973
Y 0.001 0.670 0.751
Y 0.002 0.223 0.752
Y 0.151 0.517 0.149
Y 0.153 0.512 0.654

Main lines, in order of rising 2θ (2θ = 15–90°):
(4 0 0), 2.999 Å, 29.79°, I = 156
(5 1 -2), 2.977 Å, 30.01°, I = 769
(2 2 0), 2.967 Å, 30.12°, I = 263
(4 0 -4), 2.949 Å, 30.31°, I = 1000
(2 0 2), 2.673 Å, 33.53°, I = 240
(0 2 2), 2.650 Å, 33.83°, I = 568
(9 1 -6), 1.706 Å, 53.71°, I = 150
(4 2 2), 1.656 Å, 55.50°, I = 178
(7 3 -4), 1.642 Å, 56.01°, I = 203
(2 4 -2), 1.639 Å, 56.12°, I = 185

# 3
Theoretical powder XRD pattern
Compound: LaNd2Y12
Radiation: Cu Kα X-rays
Structure: DFT lattice parameters and positions (PBE)
Neutral-atom scattering factors, no anomalous dispersion.

a = 3.548 Å, b = 5.743 Å, c = 25.199 Å
α = 90.00°, β = 90.00°, γ = 90.00°
Space group Pmmm (No. 47)
Unique sites:
La 0.000 0.000 0.000
Nd 0.000 0.000 0.269
Y 0.000 0.500 0.080
Y 0.000 0.500 0.439
Y 0.500 0.000 0.130
Y 0.500 0.000 0.415
Y 0.500 0.500 0.201
Y 0.500 0.500 0.328

Main lines, in order of rising 2θ (2θ = 15–90°):
(1 0 4), 3.092 Å, 28.88°, I = 392
(0 1 7), 3.050 Å, 29.28°, I = 768
(1 1 2), 2.936 Å, 30.45°, I = 896
(0 2 0), 2.872 Å, 31.14°, I = 1000
(1 1 3), 2.841 Å, 31.49°, I = 374
(0 1 8), 2.762 Å, 32.42°, I = 729
(1 1 4), 2.722 Å, 32.90°, I = 806
(1 1 6), 2.451 Å, 36.66°, I = 400
(1 0 11), 1.925 Å, 47.23°, I = 297
(1 2 11), 1.599 Å, 57.66°, I = 326

# 4
Theoretical powder XRD pattern
Compound: La4NdY2
Radiation: Cu Kα X-rays
Structure: DFT lattice parameters and positions (PBE)
Neutral-atom scattering factors, no anomalous dispersion.

a = 12.243 Å, b = 24.764 Å, c = 6.578 Å
α = 90.00°, β = 90.00°, γ = 90.00°
Space group Fdd2 (No. 43)
Unique sites:
La 0.045 0.073 0.000
La 0.063 0.142 0.518
Nd 0.000 0.000 0.484
Y 0.025 0.218 0.040

Main lines, in order of rising 2θ (2θ = 15–90°):
(4 0 0), 3.061 Å, 29.18°, I = 124
(1 7 1), 3.020 Å, 29.58°, I = 1000
(4 2 0), 2.971 Å, 30.08°, I = 355
(2 0 2), 2.897 Å, 30.86°, I = 669
(3 5 1), 2.841 Å, 31.49°, I = 323
(2 2 2), 2.821 Å, 31.72°, I = 255
(3 7 1), 2.476 Å, 36.27°, I = 286
(1 7 3), 1.843 Å, 49.47°, I = 212
(2 14 0), 1.699 Å, 53.96°, I = 143
(0 14 2), 1.558 Å, 59.32°, I = 142

# 5
Theoretical powder XRD pattern
Compound: La4NdY3
Radiation: Cu Kα X-rays
Structure: DFT lattice parameters and positions (PBE)
Neutral-atom scattering factors, no anomalous dispersion.

a = 11.809 Å, b = 7.408 Å, c = 6.440 Å
α = 90.00°, β = 90.00°, γ = 90.00°
Space group Pmn2_1 (No. 31)
Unique sites:
La 0.000 0.127 0.000
La 0.000 0.872 0.515
La 0.245 0.123 0.331
Nd 0.000 0.627 0.002
Y 0.000 0.379 0.501
Y 0.250 0.379 0.834

Main lines, in order of rising 2θ (2θ = 15–90°):
(0 2 1), 3.214 Å, 27.76°, I = 239
(4 0 0), 2.952 Å, 30.27°, I = 252
(2 0 2), 2.823 Å, 31.70°, I = 1000
(4 2 1), 2.174 Å, 41.54°, I = 159
(0 2 3), 1.857 Å, 49.05°, I = 131
(0 4 0), 1.852 Å, 49.20°, I = 64
(6 0 2), 1.679 Å, 54.68°, I = 208
(4 2 3), 1.572 Å, 58.73°, I = 149
(4 4 0), 1.569 Å, 58.86°, I = 74
(2 4 2), 1.549 Å, 59.69°, I = 111

# 6
Theoretical powder XRD pattern
Compound: La5Nd2Y5
Radiation: Cu Kα X-rays
Structure: DFT lattice parameters and positions (PBE)
Neutral-atom scattering factors, no anomalous dispersion.

a = 17.412 Å, b = 5.824 Å, c = 10.045 Å
α = 90.00°, β = 125.14°, γ = 90.00°
Space group C2/m (No. 12)
Unique sites:
La 0.000 0.000 0.000
La 0.121 0.000 0.784
La 0.248 0.000 0.250
Nd 0.122 0.000 0.457
Y 0.000 0.500 0.500
Y 0.124 0.500 0.956
Y 0.125 0.500 0.294

Main lines, in order of rising 2θ (2θ = 15–90°):
(0 2 0), 2.906 Å, 30.76°, I = 1000
(6 0 -2), 2.902 Å, 30.81°, I = 84
(0 0 4), 2.056 Å, 44.05°, I = 158
(8 0 0), 1.780 Å, 51.33°, I = 44
(3 3 -3), 1.680 Å, 54.65°, I = 176
(6 0 -6), 1.675 Å, 54.79°, I = 134
(8 2 0), 1.518 Å, 61.02°, I = 112
(11 1 -3), 1.516 Å, 61.12°, I = 54
(6 2 -6), 1.451 Å, 64.17°, I = 45
(11 3 -3), 1.221 Å, 78.32°, I = 37